Diffraction record for Ce4BiPb2. The powder diffraction line list is simulated, not measured: it uses a PBE-relaxed structure and Cu Kα.

The 8 most intense peaks (2θ from 10° to 90°), low angle first:
(2 1 1), 22.56°, I = 14.7; (3 0 1), 29.26°, I = 100.0; (3 1 2), 34.78°, I = 68.0; (2 0 4), 41.86°, I = 21.1; (4 3 1), 48.06°, I = 18.6; (1 1 6), 58.99°, I = 31.6; (4 1 5), 62.34°, I = 15.4; (7 2 1), 71.86°, I = 16.4

abc: 9.658 9.658 9.642
angles: 90.00 90.00 90.00
Space group I-42d (No. 122)
Symmetry-distinct sites (fractional):
Ce (0.075, 0.675, 0.448) x16
Bi (0.000, 0.000, 0.500) x4
Pb (0.126, 0.750, 0.125) x8

Diffraction record for Ce6Bi2Pb. The powder diffraction line list is simulated, not measured: it uses a PBE-relaxed structure and Cu Kα.

The 8 most intense peaks (2θ from 10° to 90°), low angle first:
(1 1 0), 20.62°, I = 27.8; (0 1 3), 20.74°, I = 28.2; (1 2 3), 32.90°, I = 100.0; (1 3 0), 35.95°, I = 14.3; (2 0 0), 36.23°, I = 19.3; (0 0 6), 36.50°, I = 18.9; (3 2 3), 63.06°, I = 15.6; (1 2 9), 63.42°, I = 15.3

abc: 4.960 8.686 14.772
angles: 90.00 90.00 90.00
Space group Immm (No. 71)
Symmetry-distinct sites (fractional):
Ce (0.000, 0.246, 0.000) x4
Ce (0.000, 0.251, 0.334) x8
Bi (0.000, 0.500, 0.166) x4
Pb (0.000, 0.500, 0.500) x2

Diffraction record for Ce2BiPb4. The powder diffraction line list is simulated, not measured: it uses a PBE-relaxed structure and Cu Kα.

The 8 most intense peaks (2θ from 10° to 90°), low angle first:
(1 1 0), 15.89°, I = 13.2; (2 2 0), 32.09°, I = 100.0; (0 4 0), 37.17°, I = 33.9; (4 0 -2), 37.34°, I = 16.8; (4 0 0), 53.59°, I = 18.1; (4 4 -2), 53.70°, I = 12.0; (2 6 0), 63.82°, I = 21.6; (6 2 -2), 63.96°, I = 14.3

abc: 9.634 9.677 6.815
angles: 90.00 134.79 90.00
Space group C2/m (No. 12)
Symmetry-distinct sites (fractional):
Ce (0.250, 0.250, 0.000) x4
Bi (0.000, 0.000, 0.500) x2
Pb (0.000, 0.000, 0.000) x2
Pb (0.000, 0.500, 0.000) x2
Pb (0.250, 0.250, 0.500) x4

Diffraction record for Ce7BiPb2. The powder diffraction line list is simulated, not measured: it uses a PBE-relaxed structure and Cu Kα.

The 8 most intense peaks (2θ from 10° to 90°), low angle first:
(1 0 3), 29.50°, I = 55.4; (1 1 0), 33.48°, I = 100.0; (0 1 4), 35.66°, I = 47.5; (0 2 3), 45.22°, I = 17.4; (2 0 4), 49.70°, I = 26.0; (0 1 7), 57.39°, I = 24.3; (3 0 0), 59.86°, I = 19.1; (1 2 4), 61.27°, I = 24.0

abc: 5.3528 5.3528 11.9943
angles: 90.00 90.00 120.00
Space group P3m1 (No. 156)
Symmetry-distinct sites (fractional):
Ce (0.0000, 0.0000, 0.0000) x1
Ce (0.0000, 0.0000, 0.2282) x1
Ce (0.0000, 0.0000, 0.4622) x1
Ce (0.3333, 0.6667, 0.0187) x1
Ce (0.3333, 0.6667, 0.6246) x1
Ce (0.6667, 0.3333, 0.4437) x1
Ce (0.6667, 0.3333, 0.8311) x1
Bi (0.3333, 0.6667, 0.3420) x1
Pb (0.0000, 0.0000, 0.7303) x1
Pb (0.6667, 0.3333, 0.1162) x1